Entry 1:
HfZrPbC: calculated X-ray diffraction stick pattern (Cu Kα, 1.54184 Å), based on a structure optimized by DFT (PBE).
Lines closer than 0.1° are merged.

Principal peaks in the range 10 to 80 degrees two-theta, low angle first:
two_theta	I_rel
30.42	25
31.02	4
35.53	100
36.32	20
48.08	17
54.05	21
64.83	18
66.36	16
66.87	21
75.21	4

Atomic structure:
a b c (Å): 3.3934 3.3934 14.8421
angles (deg): 90.00 90.00 120.00
Atoms (fractional coordinates):
Hf  0.0000  0.0000  0.1674
Hf  0.0000  0.0000  0.8326
Zr  0.6667  0.3333  0.3309
Zr  0.6667  0.3333  0.6691
Pb  0.0000  0.0000  0.5000
Pb  0.6667  0.3333  0.0000
C  0.3333  0.6667  0.2451
C  0.3333  0.6667  0.7549

---

Entry 2:
TlTe5Au3: calculated X-ray diffraction stick pattern (Cu Kα, 1.54184 Å), based on a structure optimized by DFT (PBE).
Lines closer than 0.1° are merged.

Principal peaks in the range 10 to 80 degrees two-theta, low angle first:
two_theta	I_rel
10.37	26
20.83	42
30.56	41
31.47	34
32.36	51
35.44	32
36.23	37
37.02	53
41.46	100
56.41	43

Atomic structure:
a b c (Å): 5.8497 5.8497 8.5288
angles (deg): 90.00 90.00 120.00
Atoms (fractional coordinates):
Tl  0.0000  0.0000  0.0000
Te  0.0000  0.0000  0.5000
Te  0.3333  0.6667  0.1639
Te  0.3333  0.6667  0.8361
Te  0.6667  0.3333  0.1639
Te  0.6667  0.3333  0.8361
Au  0.0000  0.5000  0.5000
Au  0.5000  0.0000  0.5000
Au  0.5000  0.5000  0.5000

---

Entry 3:
Gd3Sn4Pb3: calculated X-ray diffraction stick pattern (Cu Kα, 1.54184 Å), based on a structure optimized by DFT (PBE).
Lines closer than 0.1° are merged.

Principal peaks in the range 10 to 80 degrees two-theta, low angle first:
two_theta	I_rel
32.36	100
34.84	17
36.92	3
38.82	33
53.14	21
56.07	11
60.91	11
66.19	13
66.29	13
67.74	10

Atomic structure:
a b c (Å): 13.0812 13.0812 4.6435
angles (deg): 90.00 90.00 159.59
Atoms (fractional coordinates):
Gd  0.0000  0.0000  0.0000
Gd  0.1848  0.8152  0.0000
Gd  0.8152  0.1848  0.0000
Sn  0.0963  0.9037  0.5000
Sn  0.4041  0.5959  0.0000
Sn  0.5959  0.4041  0.0000
Sn  0.9037  0.0963  0.5000
Pb  0.2935  0.7065  0.5000
Pb  0.5000  0.5000  0.5000
Pb  0.7065  0.2935  0.5000

---

Entry 4:
RbAgSnSe3: calculated X-ray diffraction stick pattern (Cu Kα, 1.54184 Å), based on a structure optimized by DFT (PBE).
Lines closer than 0.1° are merged.

Principal peaks in the range 10 to 80 degrees two-theta, low angle first:
two_theta	I_rel
10.08	24
15.15	24
26.21	25
28.73	100
30.58	28
30.98	43
32.52	23
41.01	38
41.17	25
46.59	22

Atomic structure:
a b c (Å): 13.2754 4.4020 11.6968
angles (deg): 90.00 90.00 90.00
Atoms (fractional coordinates):
Rb  0.1578  0.2500  0.0020
Rb  0.3422  0.7500  0.5020
Rb  0.6578  0.2500  0.4980
Rb  0.8422  0.7500  0.9980
Ag  0.2352  0.7500  0.2225
Ag  0.2648  0.2500  0.7225
Ag  0.7352  0.7500  0.2775
Ag  0.7648  0.2500  0.7775
Sn  0.0164  0.7500  0.6497
Sn  0.4836  0.2500  0.1497
Sn  0.5164  0.7500  0.8503
Sn  0.9836  0.2500  0.3503
Se  0.0437  0.7500  0.2158
Se  0.1174  0.2500  0.5196
Se  0.1800  0.7500  0.7747
Se  0.3200  0.2500  0.2747
Se  0.3826  0.7500  0.0196
Se  0.4563  0.2500  0.7158
Se  0.5437  0.7500  0.2842
Se  0.6174  0.2500  0.9804
Se  0.6800  0.7500  0.7253
Se  0.8200  0.2500  0.2253
Se  0.8826  0.7500  0.4804
Se  0.9563  0.2500  0.7842

---

Entry 5:
TaTeNO: calculated X-ray diffraction stick pattern (Cu Kα, 1.54184 Å), based on a structure optimized by DFT (PBE).
Lines closer than 0.1° are merged.

Principal peaks in the range 10 to 80 degrees two-theta, low angle first:
two_theta	I_rel
13.11	99
25.42	100
29.37	58
30.32	39
32.97	100
38.29	27
39.97	28
42.18	40
46.52	27
49.81	35

Atomic structure:
a b c (Å): 3.2762 6.7506 7.0073
angles (deg): 90.00 90.00 90.00
Atoms (fractional coordinates):
Ta  0.0000  0.1025  0.0000
Ta  0.0000  0.8975  0.5000
Te  0.5000  0.2684  0.5023
Te  0.5000  0.7316  0.0023
N  0.0000  0.0853  0.7214
N  0.0000  0.9147  0.2214
O  0.5000  0.2490  0.0448
O  0.5000  0.7510  0.5448

---

Entry 6:
CdCo7: calculated X-ray diffraction stick pattern (Cu Kα, 1.54184 Å), based on a structure optimized by DFT (PBE).
Lines closer than 0.1° are merged.

Principal peaks in the range 10 to 80 degrees two-theta, low angle first:
two_theta	I_rel
11.30	14
13.57	12
39.67	13
42.11	11
43.48	83
44.95	100
50.31	64
53.85	15
73.90	18
76.78	19

Atomic structure:
a b c (Å): 2.5653 2.5653 39.1604
angles (deg): 90.00 90.00 90.00
Atoms (fractional coordinates):
Cd  0.2500  0.2500  0.1691
Cd  0.7500  0.7500  0.8309
Co  0.2500  0.2500  0.2663
Co  0.2500  0.2500  0.3516
Co  0.2500  0.2500  0.4365
Co  0.2500  0.2500  0.5212
Co  0.2500  0.2500  0.6061
Co  0.2500  0.2500  0.6914
Co  0.2500  0.2500  0.7754
Co  0.7500  0.7500  0.2246
Co  0.7500  0.7500  0.3086
Co  0.7500  0.7500  0.3939
Co  0.7500  0.7500  0.4788
Co  0.7500  0.7500  0.5635
Co  0.7500  0.7500  0.6484
Co  0.7500  0.7500  0.7337

---

Entry 7:
NaHgSO4F: calculated X-ray diffraction stick pattern (Cu Kα, 1.54184 Å), based on a structure optimized by DFT (PBE).
Lines closer than 0.1° are merged.

Principal peaks in the range 10 to 80 degrees two-theta, low angle first:
two_theta	I_rel
17.22	100
19.48	31
26.85	66
28.61	40
32.78	40
33.18	51
34.85	20
36.82	20
42.81	22
51.02	32

Atomic structure:
a b c (Å): 5.6673 5.6673 7.2369
angles (deg): 102.95 102.95 107.07
Atoms (fractional coordinates):
Na  0.1376  0.8624  0.7500
Na  0.8624  0.1376  0.2500
Hg  0.5000  0.5000  0.0000
Hg  0.5000  0.5000  0.5000
S  0.1859  0.8141  0.2500
S  0.8141  0.1859  0.7500
O  0.0447  0.2240  0.9170
O  0.1428  0.5841  0.3228
O  0.2240  0.0447  0.4170
O  0.4159  0.8572  0.1772
O  0.5841  0.1428  0.8228
O  0.7760  0.9553  0.5830
O  0.8572  0.4159  0.6772
O  0.9553  0.7760  0.0830
F  0.3708  0.6292  0.7500
F  0.6292  0.3708  0.2500

---

Entry 8:
Ba2Ta5O9: calculated X-ray diffraction stick pattern (Cu Kα, 1.54184 Å), based on a structure optimized by DFT (PBE).
Lines closer than 0.1° are merged.

Principal peaks in the range 10 to 80 degrees two-theta, low angle first:
two_theta	I_rel
30.61	100
31.14	36
33.68	28
37.58	22
42.52	19
43.31	54
44.37	25
53.96	41
62.91	17
63.74	33

Atomic structure:
a b c (Å): 4.1785 4.1785 12.2491
angles (deg): 90.00 90.00 90.00
Atoms (fractional coordinates):
Ba  0.0000  0.0000  0.1679
Ba  0.0000  0.0000  0.8321
Ta  0.0000  0.5000  0.5000
Ta  0.5000  0.0000  0.5000
Ta  0.5000  0.5000  0.0000
Ta  0.5000  0.5000  0.3379
Ta  0.5000  0.5000  0.6621
O  0.0000  0.0000  0.5000
O  0.0000  0.5000  0.0000
O  0.0000  0.5000  0.3260
O  0.0000  0.5000  0.6740
O  0.5000  0.0000  0.0000
O  0.5000  0.0000  0.3260
O  0.5000  0.0000  0.6740
O  0.5000  0.5000  0.1618
O  0.5000  0.5000  0.8382

---

Entry 9:
FeB2W3: calculated X-ray diffraction stick pattern (Cu Kα, 1.54184 Å), based on a structure optimized by DFT (PBE).
Lines closer than 0.1° are merged.

Principal peaks in the range 10 to 80 degrees two-theta, low angle first:
two_theta	I_rel
23.10	28
25.17	22
32.59	37
38.95	42
41.36	100
41.86	72
51.67	24
72.21	27
72.54	14
74.36	19

Atomic structure:
a b c (Å): 5.4964 4.4915 4.5531
angles (deg): 74.84 52.07 53.09
Atoms (fractional coordinates):
Fe  0.0000  0.0000  0.0000
B  0.0721  0.0721  0.4279
B  0.5721  0.5721  0.9279
W  0.1582  0.4889  0.5111
W  0.4889  0.1582  0.8418
W  0.6577  0.6577  0.3423

---

Entry 10:
Li4AgPdPb2: calculated X-ray diffraction stick pattern (Cu Kα, 1.54184 Å), based on a structure optimized by DFT (PBE).
Lines closer than 0.1° are merged.

Principal peaks in the range 10 to 80 degrees two-theta, low angle first:
two_theta	I_rel
23.33	100
38.55	86
45.45	17
45.60	35
55.75	10
61.13	14
61.24	7
69.64	10
69.81	20
74.78	8

Atomic structure:
a b c (Å): 4.6638 4.6638 6.6232
angles (deg): 90.00 90.00 90.00
Atoms (fractional coordinates):
Li  0.0000  0.0000  0.0000
Li  0.0000  0.5000  0.2430
Li  0.5000  0.0000  0.7570
Li  0.5000  0.5000  0.5000
Ag  0.0000  0.0000  0.5000
Pd  0.5000  0.5000  0.0000
Pb  0.0000  0.5000  0.7631
Pb  0.5000  0.0000  0.2369

---

Entry 11:
HoInFeS3: calculated X-ray diffraction stick pattern (Cu Kα, 1.54184 Å), based on a structure optimized by DFT (PBE).
Lines closer than 0.1° are merged.

Principal peaks in the range 10 to 80 degrees two-theta, low angle first:
two_theta	I_rel
12.48	71
21.28	100
25.12	72
29.33	57
30.91	81
34.46	81
34.74	47
43.12	45
43.35	44
51.59	44

Atomic structure:
a b c (Å): 7.3563 7.3563 10.3293
angles (deg): 90.00 90.00 149.18
Atoms (fractional coordinates):
Ho  0.0000  0.0000  0.0000
Ho  0.0000  0.0000  0.5000
In  0.2488  0.7512  0.7500
In  0.7512  0.2488  0.2500
Fe  0.4704  0.5296  0.2500
Fe  0.5296  0.4704  0.7500
S  0.0630  0.9370  0.2500
S  0.3762  0.6238  0.0703
S  0.3762  0.6238  0.4297
S  0.6238  0.3762  0.5703
S  0.6238  0.3762  0.9297
S  0.9370  0.0630  0.7500

---

Entry 12:
SmGdSc2Bi2: calculated X-ray diffraction stick pattern (Cu Kα, 1.54184 Å), based on a structure optimized by DFT (PBE).
Lines closer than 0.1° are merged.

Principal peaks in the range 10 to 80 degrees two-theta, low angle first:
two_theta	I_rel
21.23	42
28.40	100
30.38	39
33.51	71
35.73	97
40.59	64
46.25	24
53.62	38
70.70	27
79.28	25

Atomic structure:
a b c (Å): 4.4450 4.4450 16.7403
angles (deg): 90.00 90.00 90.00
Atoms (fractional coordinates):
Sm  0.0000  0.0000  0.0000
Sm  0.5000  0.5000  0.5000
Gd  0.0000  0.0000  0.3517
Gd  0.5000  0.5000  0.8517
Sc  0.0000  0.5000  0.1764
Sc  0.0000  0.5000  0.6764
Sc  0.5000  0.0000  0.1764
Sc  0.5000  0.0000  0.6764
Bi  0.0000  0.0000  0.5460
Bi  0.0000  0.0000  0.8063
Bi  0.5000  0.5000  0.0460
Bi  0.5000  0.5000  0.3063

---

Entry 13:
LaUW2C3: calculated X-ray diffraction stick pattern (Cu Kα, 1.54184 Å), based on a structure optimized by DFT (PBE).
Lines closer than 0.1° are merged.

Principal peaks in the range 10 to 80 degrees two-theta, low angle first:
two_theta	I_rel
29.42	29
31.11	61
32.15	42
34.22	31
34.68	100
35.58	86
36.01	26
43.87	20
49.26	19
55.35	47

Atomic structure:
a b c (Å): 12.2443 3.3189 5.7611
angles (deg): 90.00 114.54 90.00
Atoms (fractional coordinates):
La  0.0000  0.0000  0.0000
La  0.5000  0.5000  0.0000
U  0.2918  0.5000  0.3899
U  0.7918  0.0000  0.3899
W  0.0631  0.5000  0.5354
W  0.2466  0.0000  0.8801
W  0.5631  0.0000  0.5354
W  0.7466  0.5000  0.8801
C  0.1557  0.0000  0.4638
C  0.1606  0.5000  0.9499
C  0.3965  0.0000  0.2247
C  0.6557  0.5000  0.4638
C  0.6606  0.0000  0.9499
C  0.8965  0.5000  0.2247